(1)
Starting from a DFT-relaxed cell (GGA-PBE, the Materials Project), the X-ray powder pattern of TmCoC2 was computed for λ = 1.5418 Å (Cu Kα).
Kinematic intensities with the Lorentz-polarization factor, no thermal factor.

Top 12 peaks for 2θ = 10–90°, by angle:
- d = 3.588 Å, rel. 38.4
- d = 2.981 Å, rel. 22.3
- d = 2.498 Å, rel. 100.0
- d = 2.264 Å, rel. 26.2
- d = 2.247 Å, rel. 18.9
- d = 1.817 Å, rel. 19.3
- d = 1.794 Å, rel. 13.9
- d = 1.740 Å, rel. 10.5
- d = 1.611 Å, rel. 10.0
- d = 1.595 Å, rel. 15.2
- d = 1.341 Å, rel. 13.3
- d = 1.257 Å, rel. 11.1

Cell lengths 3.4796, 3.7326, 3.7326 Å; angles 74.02, 90.00, 90.00 degrees
Element x y z (fractional)
Tm (0.0000, 0.0000, 0.0000)
Co (0.5000, 0.3829, 0.3829)
C (0.5000, 0.5406, 0.8476)
C (0.5000, 0.8476, 0.5406)

***

(2)
Starting from a DFT-relaxed cell (GGA-PBE, the Materials Project), the X-ray powder pattern of TmCoC was computed for λ = 1.5418 Å (Cu Kα).
Kinematic intensities with the Lorentz-polarization factor, no thermal factor.

Top 12 peaks for 2θ = 10–90°, by angle:
- d = 3.601 Å, rel. 28.4
- d = 3.348 Å, rel. 9.3
- d = 2.546 Å, rel. 50.6
- d = 2.452 Å, rel. 100.0
- d = 2.027 Å, rel. 14.7
- d = 1.801 Å, rel. 21.1
- d = 1.674 Å, rel. 8.3
- d = 1.451 Å, rel. 38.0
- d = 1.399 Å, rel. 15.6
- d = 1.226 Å, rel. 11.5
- d = 1.139 Å, rel. 8.1
- d = 1.130 Å, rel. 8.5

Cell lengths 3.6012, 3.6012, 6.6969 Å; angles 90.00, 90.00, 90.00 degrees
Element x y z (fractional)
Tm (0.0000, 0.0000, 0.2500)
Tm (0.0000, 0.0000, 0.7500)
Co (0.5000, 0.5000, 0.0000)
Co (0.5000, 0.5000, 0.5000)
C (0.0000, 0.5000, 0.0000)
C (0.5000, 0.0000, 0.5000)

***

(3)
Starting from a DFT-relaxed cell (GGA-PBE, the Materials Project), the X-ray powder pattern of Co3W3C was computed for λ = 1.5418 Å (Cu Kα).
Kinematic intensities with the Lorentz-polarization factor, no thermal factor.

Top 12 peaks for 2θ = 10–90°, by angle:
- d = 3.923 Å, rel. 13.3
- d = 2.774 Å, rel. 36.8
- d = 2.546 Å, rel. 26.9
- d = 2.265 Å, rel. 56.2
- d = 2.135 Å, rel. 100.0
- d = 1.962 Å, rel. 50.2
- d = 1.554 Å, rel. 15.6
- d = 1.445 Å, rel. 16.5
- d = 1.356 Å, rel. 17.0
- d = 1.308 Å, rel. 43.8
- d = 1.281 Å, rel. 11.3
- d = 1.115 Å, rel. 16.1

Cell lengths 7.8463, 7.8463, 7.8463 Å; angles 60.00, 60.00, 60.00 degrees
Element x y z (fractional)
Co (0.0000, 0.0000, 0.0000)
Co (0.0000, 0.0000, 0.5000)
Co (0.0000, 0.5000, 0.0000)
Co (0.1154, 0.7949, 0.7949)
Co (0.2051, 0.2051, 0.2051)
Co (0.2051, 0.2051, 0.8846)
Co (0.2051, 0.8846, 0.2051)
Co (0.5000, 0.0000, 0.0000)
Co (0.7949, 0.1154, 0.7949)
Co (0.7949, 0.7949, 0.1154)
Co (0.7949, 0.7949, 0.7949)
Co (0.8846, 0.2051, 0.2051)
W (0.1722, 0.1722, 0.5778)
W (0.1722, 0.5778, 0.1722)
W (0.1722, 0.5778, 0.5778)
W (0.4222, 0.4222, 0.8278)
W (0.4222, 0.8278, 0.4222)
W (0.4222, 0.8278, 0.8278)
W (0.5778, 0.1722, 0.1722)
W (0.5778, 0.1722, 0.5778)
W (0.5778, 0.5778, 0.1722)
W (0.8278, 0.4222, 0.4222)
W (0.8278, 0.4222, 0.8278)
W (0.8278, 0.8278, 0.4222)
C (0.0000, 0.5000, 0.5000)
C (0.5000, 0.0000, 0.5000)
C (0.5000, 0.5000, 0.0000)
C (0.5000, 0.5000, 0.5000)

***

(4)
Starting from a DFT-relaxed cell (GGA-PBE, the Materials Project), the X-ray powder pattern of YCoC was computed for λ = 1.5418 Å (Cu Kα).
Kinematic intensities with the Lorentz-polarization factor, no thermal factor.

Top 12 peaks for 2θ = 10–90°, by angle:
- d = 3.627 Å, rel. 4.7
- d = 2.565 Å, rel. 46.1
- d = 2.509 Å, rel. 100.0
- d = 1.813 Å, rel. 20.4
- d = 1.737 Å, rel. 8.8
- d = 1.470 Å, rel. 35.1
- d = 1.438 Å, rel. 14.6
- d = 1.282 Å, rel. 6.0
- d = 1.254 Å, rel. 11.1
- d = 1.147 Å, rel. 6.8
- d = 1.142 Å, rel. 7.4
- d = 1.103 Å, rel. 6.8

Cell lengths 3.6269, 3.6269, 6.9483 Å; angles 90.00, 90.00, 90.00 degrees
Element x y z (fractional)
Y (0.0000, 0.0000, 0.2500)
Y (0.0000, 0.0000, 0.7500)
Co (0.5000, 0.5000, 0.0000)
Co (0.5000, 0.5000, 0.5000)
C (0.0000, 0.5000, 0.0000)
C (0.5000, 0.0000, 0.5000)

***

(5)
Starting from a DFT-relaxed cell (GGA-PBE, the Materials Project), the X-ray powder pattern of YCoC was computed for λ = 1.5418 Å (Cu Kα).
Kinematic intensities with the Lorentz-polarization factor, no thermal factor.

Top 12 peaks for 2θ = 10–90°, by angle:
- d = 3.619 Å, rel. 5.3
- d = 2.541 Å, rel. 100.0
- d = 2.523 Å, rel. 64.6
- d = 1.810 Å, rel. 11.3
- d = 1.784 Å, rel. 21.5
- d = 1.470 Å, rel. 21.7
- d = 1.460 Å, rel. 34.2
- d = 1.270 Å, rel. 12.9
- d = 1.261 Å, rel. 6.3
- d = 1.143 Å, rel. 7.4
- d = 1.130 Å, rel. 7.2
- d = 1.128 Å, rel. 8.8

Cell lengths 3.5679, 3.5679, 3.6191 Å; angles 90.00, 90.00, 90.00 degrees
Element x y z (fractional)
Y (0.0000, 0.0000, 0.0000)
Co (0.5000, 0.5000, 0.5000)
C (0.5000, 0.5000, 0.0000)

***

(6)
Starting from a DFT-relaxed cell (GGA-PBE, the Materials Project), the X-ray powder pattern of Y2Co17C was computed for λ = 1.5418 Å (Cu Kα).
Kinematic intensities with the Lorentz-polarization factor, no thermal factor.

Top 12 peaks for 2θ = 10–90°, by angle:
- d = 2.918 Å, rel. 24.7
- d = 2.430 Å, rel. 40.9
- d = 2.326 Å, rel. 48.3
- d = 2.107 Å, rel. 49.3
- d = 2.098 Å, rel. 94.3
- d = 2.085 Å, rel. 99.4
- d = 2.079 Å, rel. 57.9
- d = 2.068 Å, rel. 32.3
- d = 2.021 Å, rel. 100.0
- d = 1.868 Å, rel. 67.2
- d = 1.857 Å, rel. 35.6
- d = 1.459 Å, rel. 24.2

Cell lengths 6.3322, 6.3322, 6.2788 Å; angles 96.56, 96.56, 83.45 degrees
Element x y z (fractional)
Y (0.1601, 0.1601, 0.3543)
Y (0.8399, 0.8399, 0.6457)
Co (0.0000, 0.5000, 0.0000)
Co (0.1542, 0.1542, 0.8533)
Co (0.1551, 0.6423, 0.3496)
Co (0.2145, 0.4989, 0.7129)
Co (0.2182, 0.7818, 0.0000)
Co (0.3577, 0.8449, 0.6504)
Co (0.4043, 0.4043, 0.0979)
Co (0.4989, 0.2145, 0.7129)
Co (0.5000, 0.0000, 0.0000)
Co (0.5000, 0.5000, 0.5000)
Co (0.5011, 0.7855, 0.2871)
Co (0.5957, 0.5957, 0.9021)
Co (0.6423, 0.1551, 0.3496)
Co (0.7818, 0.2182, 0.0000)
Co (0.7855, 0.5011, 0.2871)
Co (0.8449, 0.3577, 0.6504)
Co (0.8458, 0.8458, 0.1467)
C (0.0000, 0.0000, 0.0000)

***

(7)
Starting from a DFT-relaxed cell (GGA-PBE, the Materials Project), the X-ray powder pattern of ZnCo3C was computed for λ = 1.5418 Å (Cu Kα).
Kinematic intensities with the Lorentz-polarization factor, no thermal factor.

Top 6 peaks for 2θ = 10–90°, by angle:
- d = 2.643 Å, rel. 1.8
- d = 2.158 Å, rel. 100.0
- d = 1.869 Å, rel. 54.5
- d = 1.526 Å, rel. 0.6
- d = 1.322 Å, rel. 31.4
- d = 1.127 Å, rel. 32.3

Cell lengths 3.7379, 3.7379, 3.7379 Å; angles 90.00, 90.00, 90.00 degrees
Element x y z (fractional)
Zn (0.0000, 0.0000, 0.0000)
Co (0.0000, 0.5000, 0.5000)
Co (0.5000, 0.0000, 0.5000)
Co (0.5000, 0.5000, 0.0000)
C (0.5000, 0.5000, 0.5000)

***

(8)
Starting from a DFT-relaxed cell (GGA-PBE, the Materials Project), the X-ray powder pattern of Cr23C6 was computed for λ = 1.5418 Å (Cu Kα).
Kinematic intensities with the Lorentz-polarization factor, no thermal factor.

Top 12 peaks for 2θ = 10–90°, by angle:
- d = 2.360 Å, rel. 21.9
- d = 2.154 Å, rel. 27.9
- d = 2.031 Å, rel. 100.0
- d = 1.865 Å, rel. 22.6
- d = 1.784 Å, rel. 26.8
- d = 1.759 Å, rel. 13.1
- d = 1.591 Å, rel. 7.6
- d = 1.280 Å, rel. 5.5
- d = 1.244 Å, rel. 19.8
- d = 1.218 Å, rel. 11.9
- d = 1.180 Å, rel. 5.2
- d = 1.158 Å, rel. 6.6

Cell lengths 7.4616, 7.4616, 7.4616 Å; angles 60.00, 60.00, 60.00 degrees
Element x y z (fractional)
Cr (0.0000, 0.0000, 0.0000)
Cr (0.0000, 0.0000, 0.3395)
Cr (0.0000, 0.0000, 0.6605)
Cr (0.0000, 0.3395, 0.0000)
Cr (0.0000, 0.3395, 0.6605)
Cr (0.0000, 0.6605, 0.0000)
Cr (0.0000, 0.6605, 0.3395)
Cr (0.1434, 0.6189, 0.6189)
Cr (0.2500, 0.2500, 0.2500)
Cr (0.3395, 0.0000, 0.0000)
Cr (0.3395, 0.0000, 0.6605)
Cr (0.3395, 0.6605, 0.0000)
Cr (0.3811, 0.3811, 0.3811)
Cr (0.3811, 0.3811, 0.8566)
Cr (0.3811, 0.8566, 0.3811)
Cr (0.6189, 0.1434, 0.6189)
Cr (0.6189, 0.6189, 0.1434)
Cr (0.6189, 0.6189, 0.6189)
Cr (0.6605, 0.0000, 0.0000)
Cr (0.6605, 0.0000, 0.3395)
Cr (0.6605, 0.3395, 0.0000)
Cr (0.7500, 0.7500, 0.7500)
Cr (0.8566, 0.3811, 0.3811)
C (0.2771, 0.2771, 0.7229)
C (0.2771, 0.7229, 0.2771)
C (0.2771, 0.7229, 0.7229)
C (0.7229, 0.2771, 0.2771)
C (0.7229, 0.2771, 0.7229)
C (0.7229, 0.7229, 0.2771)

***

(9)
Starting from a DFT-relaxed cell (GGA-PBE, the Materials Project), the X-ray powder pattern of Cr2C was computed for λ = 1.5418 Å (Cu Kα).
Kinematic intensities with the Lorentz-polarization factor, no thermal factor.

Top 8 peaks for 2θ = 10–90°, by angle:
- d = 4.259 Å, rel. 1.3
- d = 2.454 Å, rel. 14.3
- d = 2.126 Å, rel. 100.0
- d = 1.608 Å, rel. 14.2
- d = 1.417 Å, rel. 15.1
- d = 1.229 Å, rel. 11.5
- d = 1.227 Å, rel. 1.4
- d = 1.179 Å, rel. 21.4

Cell lengths 2.8331, 2.8331, 4.2588 Å; angles 90.00, 90.00, 120.00 degrees
Element x y z (fractional)
Cr (0.3333, 0.6667, 0.2525)
Cr (0.6667, 0.3333, 0.7475)
C (0.0000, 0.0000, 0.0000)

***

(10)
Starting from a DFT-relaxed cell (GGA-PBE, the Materials Project), the X-ray powder pattern of Cr3C was computed for λ = 1.5418 Å (Cu Kα).
Kinematic intensities with the Lorentz-polarization factor, no thermal factor.

Top 12 peaks for 2θ = 10–90°, by angle:
- d = 2.382 Å, rel. 40.2
- d = 2.250 Å, rel. 24.5
- d = 2.131 Å, rel. 64.8
- d = 2.074 Å, rel. 66.1
- d = 2.046 Å, rel. 70.6
- d = 1.993 Å, rel. 100.0
- d = 1.980 Å, rel. 62.3
- d = 1.864 Å, rel. 56.1
- d = 1.860 Å, rel. 37.3
- d = 1.760 Å, rel. 31.5
- d = 1.615 Å, rel. 24.4
- d = 1.168 Å, rel. 31.3

Cell lengths 5.1860, 6.6588, 4.5253 Å; angles 90.00, 90.00, 90.00 degrees
Element x y z (fractional)
Cr (0.0309, 0.2500, 0.1585)
Cr (0.1780, 0.0596, 0.6577)
Cr (0.1780, 0.4404, 0.6577)
Cr (0.3220, 0.5596, 0.1577)
Cr (0.3220, 0.9404, 0.1577)
Cr (0.4691, 0.7500, 0.6585)
Cr (0.5309, 0.2500, 0.3415)
Cr (0.6780, 0.0596, 0.8423)
Cr (0.6780, 0.4404, 0.8423)
Cr (0.8220, 0.5596, 0.3423)
Cr (0.8220, 0.9404, 0.3423)
Cr (0.9691, 0.7500, 0.8415)
C (0.1261, 0.7500, 0.4321)
C (0.3739, 0.2500, 0.9321)
C (0.6261, 0.7500, 0.0679)
C (0.8739, 0.2500, 0.5679)

***

(11)
Starting from a DFT-relaxed cell (GGA-PBE, the Materials Project), the X-ray powder pattern of Cr3C2 was computed for λ = 1.5418 Å (Cu Kα).
Kinematic intensities with the Lorentz-polarization factor, no thermal factor.

Top 12 peaks for 2θ = 10–90°, by angle:
- d = 2.509 Å, rel. 51.6
- d = 2.306 Å, rel. 43.3
- d = 2.187 Å, rel. 14.3
- d = 2.125 Å, rel. 54.9
- d = 2.076 Å, rel. 37.4
- d = 2.062 Å, rel. 100.0
- d = 1.989 Å, rel. 49.0
- d = 1.780 Å, rel. 38.2
- d = 1.751 Å, rel. 17.2
- d = 1.408 Å, rel. 30.1
- d = 1.282 Å, rel. 13.9
- d = 1.163 Å, rel. 25.3

Cell lengths 4.8216, 4.8216, 6.9167 Å; angles 90.00, 90.00, 146.05 degrees
Element x y z (fractional)
Cr (0.0989, 0.9011, 0.7500)
Cr (0.3565, 0.6435, 0.5700)
Cr (0.3565, 0.6435, 0.9300)
Cr (0.6435, 0.3565, 0.0700)
Cr (0.6435, 0.3565, 0.4300)
Cr (0.9011, 0.0989, 0.2500)
C (0.0000, 0.0000, 0.0000)
C (0.0000, 0.0000, 0.5000)
C (0.2540, 0.7460, 0.2500)
C (0.7460, 0.2540, 0.7500)

***

(12)
Starting from a DFT-relaxed cell (GGA-PBE, the Materials Project), the X-ray powder pattern of Cr3C2 was computed for λ = 1.5418 Å (Cu Kα).
Kinematic intensities with the Lorentz-polarization factor, no thermal factor.

Top 12 peaks for 2θ = 10–90°, by angle:
- d = 2.548 Å, rel. 25.3
- d = 2.282 Å, rel. 100.0
- d = 2.230 Å, rel. 60.6
- d = 1.985 Å, rel. 25.2
- d = 1.927 Å, rel. 48.9
- d = 1.918 Å, rel. 35.5
- d = 1.881 Å, rel. 35.9
- d = 1.851 Å, rel. 44.4
- d = 1.805 Å, rel. 30.5
- d = 1.775 Å, rel. 26.1
- d = 1.689 Å, rel. 24.6
- d = 1.394 Å, rel. 21.9

Cell lengths 5.4824, 2.7884, 11.5101 Å; angles 90.00, 90.00, 90.00 degrees
Element x y z (fractional)
Cr (0.0167, 0.2500, 0.0968)
Cr (0.1337, 0.7500, 0.4318)
Cr (0.1836, 0.2500, 0.7264)
Cr (0.3164, 0.7500, 0.2264)
Cr (0.3663, 0.2500, 0.9318)
Cr (0.4833, 0.7500, 0.5968)
Cr (0.5167, 0.2500, 0.4032)
Cr (0.6337, 0.7500, 0.0682)
Cr (0.6836, 0.2500, 0.7736)
Cr (0.8164, 0.7500, 0.2736)
Cr (0.8663, 0.2500, 0.5682)
Cr (0.9833, 0.7500, 0.9032)
C (0.1013, 0.2500, 0.2977)
C (0.2371, 0.2500, 0.5490)
C (0.2629, 0.7500, 0.0490)
C (0.3987, 0.7500, 0.7977)
C (0.6013, 0.2500, 0.2023)
C (0.7371, 0.2500, 0.9510)
C (0.7629, 0.7500, 0.4510)
C (0.8987, 0.7500, 0.7023)

***

(13)
Starting from a DFT-relaxed cell (GGA-PBE, the Materials Project), the X-ray powder pattern of Cs2LiCrC6N6 was computed for λ = 1.5418 Å (Cu Kα).
Kinematic intensities with the Lorentz-polarization factor, no thermal factor.

Top 12 peaks for 2θ = 10–90°, by angle:
- d = 5.437 Å, rel. 21.7
- d = 3.845 Å, rel. 100.0
- d = 3.139 Å, rel. 49.1
- d = 2.719 Å, rel. 44.4
- d = 2.432 Å, rel. 22.3
- d = 2.220 Å, rel. 35.3
- d = 1.922 Å, rel. 24.6
- d = 1.812 Å, rel. 14.0
- d = 1.719 Å, rel. 27.8
- d = 1.639 Å, rel. 12.8
- d = 1.453 Å, rel. 26.4
- d = 1.282 Å, rel. 11.4

Cell lengths 7.6898, 7.6898, 7.6898 Å; angles 60.00, 60.00, 60.00 degrees
Element x y z (fractional)
Cs (0.2500, 0.2500, 0.2500)
Cs (0.7500, 0.7500, 0.7500)
Li (0.0000, 0.0000, 0.0000)
Cr (0.5000, 0.5000, 0.5000)
C (0.3127, 0.3127, 0.6873)
C (0.3127, 0.6873, 0.3127)
C (0.3127, 0.6873, 0.6873)
C (0.6873, 0.3127, 0.3127)
C (0.6873, 0.3127, 0.6873)
C (0.6873, 0.6873, 0.3127)
N (0.2045, 0.2045, 0.7955)
N (0.2045, 0.7955, 0.2045)
N (0.2045, 0.7955, 0.7955)
N (0.7955, 0.2045, 0.2045)
N (0.7955, 0.2045, 0.7955)
N (0.7955, 0.7955, 0.2045)